(1)
# Sn2Hg2As3P
Theoretical powder diffraction line list, Cu Kα (λ = 1.5418 Å). Input: a DFT-relaxed cell (PBE, OQMD).
No peak broadening, texture or thermal motion is included.

```
data_Sn2Hg2As3P
_space_group_name_H-M_alt 'C 1 2 1'
_space_group_IT_number 5
_space_group_name_Hall 'C 2y'
_cell_length_a 13.555
_cell_length_b 6.188
_cell_length_c 6.171
_cell_angle_alpha 90.00
_cell_angle_beta 116.78
_cell_angle_gamma 90.00
loop_
_atom_site_label
_atom_site_fract_x
_atom_site_fract_y
_atom_site_fract_z
_atom_site_occupancy
Sn1 0.124 0.000 0.379 1
Hg1 0.121 0.513 0.863 1
As1 0.000 0.250 0.000 1
As2 0.250 0.254 0.749 1
P1 0.000 0.763 0.500 1
```

The 8 most intense peaks (10° ≤ 2θ ≤ 80°), low angle first:
two_theta	I (rel.)	h k l
25.1	1000	3 1 -1
28.9	103	0 2 0
41.3	230	2 2 -2
41.7	335	4 2 0
41.9	112	6 0 -2
48.9	251	1 3 1
49.1	81	5 1 -3
49.7	83	5 1 1

***

(2)
# HgAsPd2
Theoretical powder diffraction line list, Cu Kα (λ = 1.5418 Å). Input: a DFT-relaxed cell (PBE, OQMD).
No peak broadening, texture or thermal motion is included.

```
data_HgAsPd2
_space_group_name_H-M_alt 'F -4 3 m'
_space_group_IT_number 216
_space_group_name_Hall 'F -4 2 3'
_cell_length_a 6.547
_cell_length_b 6.547
_cell_length_c 6.547
_cell_angle_alpha 90.00
_cell_angle_beta 90.00
_cell_angle_gamma 90.00
loop_
_atom_site_label
_atom_site_fract_x
_atom_site_fract_y
_atom_site_fract_z
_atom_site_occupancy
Hg1 0.000 0.000 0.000 1
As1 0.250 0.250 0.750 1
Pd1 0.000 0.000 0.500 1
Pd2 0.250 0.250 0.250 1
```

The 8 most intense peaks (10° ≤ 2θ ≤ 80°), low angle first:
two_theta	I (rel.)	h k l
23.5	89	1 1 1
27.2	77	2 0 0
38.9	1000	2 2 0
46.0	50	3 1 1
48.1	23	2 2 2
56.2	171	4 0 0
63.6	31	4 2 0
70.5	346	4 2 2

***

(3)
# Rb2ZnHgAs2
Theoretical powder diffraction line list, Cu Kα (λ = 1.5418 Å). Input: a DFT-relaxed cell (PBE, OQMD).
No peak broadening, texture or thermal motion is included.

```
data_Rb2ZnHgAs2
_space_group_name_H-M_alt 'P -6 m 2'
_space_group_IT_number 187
_space_group_name_Hall 'P -6 2'
_cell_length_a 4.4935
_cell_length_b 4.4935
_cell_length_c 10.9308
_cell_angle_alpha 90.00
_cell_angle_beta 90.00
_cell_angle_gamma 120.00
loop_
_atom_site_label
_atom_site_fract_x
_atom_site_fract_y
_atom_site_fract_z
_atom_site_occupancy
Rb1 0.0000 0.0000 0.2489 1
Zn1 0.6667 0.3333 0.0000 1
Hg1 0.3333 0.6667 0.5000 1
As1 0.3333 0.6667 0.0000 1
As2 0.6667 0.3333 0.5000 1
```

The 8 most intense peaks (10° ≤ 2θ ≤ 80°), low angle first:
two_theta	I (rel.)	h k l
16.2	240	0 0 2
28.1	1000	1 0 2
32.8	249	0 0 4
40.1	428	1 1 0
49.7	206	2 0 2
52.7	383	1 1 4
55.7	146	1 0 6
65.7	178	2 1 2

***

(4)
# HgAsSe2S
Theoretical powder diffraction line list, Cu Kα (λ = 1.5418 Å). Input: a DFT-relaxed cell (PBE, OQMD).
No peak broadening, texture or thermal motion is included.

```
data_HgAsSe2S
_space_group_name_H-M_alt 'P -1'
_space_group_IT_number 2
_space_group_name_Hall '-P 1'
_cell_length_a 6.587
_cell_length_b 6.660
_cell_length_c 8.042
_cell_angle_alpha 95.22
_cell_angle_beta 107.13
_cell_angle_gamma 117.73
loop_
_atom_site_label
_atom_site_fract_x
_atom_site_fract_y
_atom_site_fract_z
_atom_site_occupancy
Hg1 0.137 0.253 0.358 1
As1 0.450 0.937 0.330 1
Se1 0.277 0.739 0.748 1
Se2 0.481 0.382 0.712 1
S1 0.073 0.852 0.197 1
```

The 8 most intense peaks (10° ≤ 2θ ≤ 80°), low angle first:
two_theta	I (rel.)	h k l
12.0	1000	0 0 1
18.5	371	-1 1 1
24.0	503	0 0 2
26.1	531	1 1 -1
26.9	262	1 -2 0
29.4	363	1 1 -2
32.6	321	-2 2 1
34.1	253	2 -1 1

***

(5)
# TlHgAs3S6
Theoretical powder diffraction line list, Cu Kα (λ = 1.5418 Å). Input: a DFT-relaxed cell (PBE, OQMD).
No peak broadening, texture or thermal motion is included.

```
data_TlHgAs3S6
_space_group_name_H-M_alt 'P 1 21/c 1'
_space_group_IT_number 14
_space_group_name_Hall '-P 2ybc'
_cell_length_a 6.141
_cell_length_b 11.912
_cell_length_c 17.313
_cell_angle_alpha 90.00
_cell_angle_beta 110.02
_cell_angle_gamma 90.00
loop_
_atom_site_label
_atom_site_fract_x
_atom_site_fract_y
_atom_site_fract_z
_atom_site_occupancy
Tl1 0.071 0.118 0.192 1
Hg1 0.162 0.601 0.097 1
As1 0.318 0.165 0.917 1
As2 0.407 0.633 0.934 1
As3 0.446 0.128 0.746 1
S1 0.057 0.640 0.950 1
S2 0.225 0.639 0.790 1
S3 0.260 0.156 0.383 1
S4 0.346 0.633 0.617 1
S5 0.368 0.559 0.242 1
S6 0.500 0.177 0.057 1
```

The 8 most intense peaks (10° ≤ 2θ ≤ 80°), low angle first:
two_theta	I (rel.)	h k l
19.7	214	1 1 -3
23.3	183	1 1 -4
23.4	1000	1 2 1
30.0	606	0 4 0
30.6	296	2 1 -3
31.3	151	2 0 -4
31.6	193	1 3 -4
33.9	168	0 1 6

***

(6)
# TlHgAsS3
Theoretical powder diffraction line list, Cu Kα (λ = 1.5418 Å). Input: a DFT-relaxed cell (PBE, OQMD).
No peak broadening, texture or thermal motion is included.

```
data_TlHgAsS3
_space_group_name_H-M_alt 'I -4 2 m'
_space_group_IT_number 121
_space_group_name_Hall 'I -4 2'
_cell_length_a 11.648
_cell_length_b 11.648
_cell_length_c 10.549
_cell_angle_alpha 90.00
_cell_angle_beta 90.00
_cell_angle_gamma 90.00
loop_
_atom_site_label
_atom_site_fract_x
_atom_site_fract_y
_atom_site_fract_z
_atom_site_occupancy
Tl1 0.000 0.000 0.156 1
Tl2 0.000 0.500 0.250 1
Hg1 0.000 0.273 0.500 1
As1 0.248 0.248 0.272 1
S1 0.123 0.325 0.911 1
S2 0.129 0.129 0.658 1
```

The 8 most intense peaks (10° ≤ 2θ ≤ 80°), low angle first:
two_theta	I (rel.)	h k l
19.0	676	2 1 1
27.5	1000	2 2 2
30.7	328	4 0 0
34.4	289	3 0 3
42.7	195	5 2 1
44.0	206	4 4 0
46.5	211	4 0 4
52.6	278	6 2 2

***

(7)
# TlHgAsS3
Theoretical powder diffraction line list, Cu Kα (λ = 1.5418 Å). Input: a DFT-relaxed cell (PBE, OQMD).
No peak broadening, texture or thermal motion is included.

```
data_TlHgAsS3
_space_group_name_H-M_alt 'C m c e'
_space_group_IT_number 64
_space_group_name_Hall '-C 2ac 2'
_cell_length_a 8.364
_cell_length_b 9.281
_cell_length_c 16.629
_cell_angle_alpha 90.00
_cell_angle_beta 90.00
_cell_angle_gamma 90.00
loop_
_atom_site_label
_atom_site_fract_x
_atom_site_fract_y
_atom_site_fract_z
_atom_site_occupancy
Tl1 0.000 0.166 0.050 1
Hg1 0.250 0.172 0.750 1
As1 0.000 0.074 0.391 1
S1 0.000 0.144 0.261 1
S2 0.216 0.077 0.608 1
```

The 8 most intense peaks (10° ≤ 2θ ≤ 80°), low angle first:
two_theta	I (rel.)	h k l
23.8	834	2 0 2
25.0	534	0 2 3
25.8	335	1 1 4
29.2	1000	2 2 1
30.7	271	2 2 2
31.3	311	1 3 1
39.7	485	2 2 5
52.9	385	2 4 5

***

(8)
# Sr2HgSbAs
Theoretical powder diffraction line list, Cu Kα (λ = 1.5418 Å). Input: a DFT-relaxed cell (PBE, OQMD).
No peak broadening, texture or thermal motion is included.

```
data_Sr2HgSbAs
_space_group_name_H-M_alt 'C m c 21'
_space_group_IT_number 36
_space_group_name_Hall 'C 2c -2'
_cell_length_a 4.632
_cell_length_b 17.068
_cell_length_c 7.981
_cell_angle_alpha 90.00
_cell_angle_beta 90.00
_cell_angle_gamma 90.00
loop_
_atom_site_label
_atom_site_fract_x
_atom_site_fract_y
_atom_site_fract_z
_atom_site_occupancy
Sr1 0.000 0.035 0.000 1
Sr2 0.000 0.215 0.622 1
Hg1 0.000 0.405 0.831 1
Sb1 0.000 0.426 0.209 1
As1 0.000 0.175 0.241 1
```

The 8 most intense peaks (10° ≤ 2θ ≤ 80°), low angle first:
two_theta	I (rel.)	h k l
15.2	620	0 2 1
27.2	813	1 3 1
30.0	793	1 1 2
30.7	347	0 4 2
32.6	1000	1 5 0
35.3	368	0 2 3
38.9	578	2 0 0
42.3	387	1 3 3